Computed powder XRD pattern
Compound: MgV12Zn6O24
Radiation: Cu Kα (λ = 1.5418 Å)
Structure: the GGA+U geometry in the Materials Project
No peak broadening, texture or thermal motion is included.

```
MgV12Zn6O24
1.0
6.056 0.000 0.000
2.971 5.279 0.000
0.069 0.568 15.170
Mg V Zn O
1 12 6 24
Cartesian
0.000 0.000 0.000 Mg
1.614 3.290 14.835 V
1.563 1.741 4.912 V
3.059 4.355 4.823 V
4.553 5.179 9.844 V
4.581 3.323 14.862 V
3.108 0.698 14.846 V
6.109 4.373 2.872 V
4.594 1.738 4.918 V
6.051 4.330 12.450 V
7.534 5.183 9.834 V
6.087 2.585 9.821 V
6.121 0.815 7.374 V
3.072 2.575 8.009 Zn
3.042 2.560 11.718 Zn
3.141 2.360 2.316 Zn
6.081 4.354 6.732 Zn
6.092 1.592 2.052 Zn
6.168 0.825 12.689 Zn
3.017 4.456 8.668 O
1.460 1.564 8.625 O
2.932 3.534 0.849 O
1.550 1.014 0.894 O
4.445 5.335 6.035 O
3.087 2.618 5.944 O
4.542 5.156 13.744 O
3.032 2.431 13.716 O
4.518 3.465 3.668 O
3.120 0.921 3.699 O
4.665 3.541 11.033 O
3.086 0.663 10.996 O
6.059 4.283 8.727 O
4.718 1.598 8.608 O
4.513 0.990 0.978 O
6.079 3.544 1.083 O
6.074 2.450 6.079 O
7.747 5.263 6.053 O
7.603 5.099 13.782 O
6.171 2.527 13.725 O
7.429 3.502 11.043 O
6.093 0.891 3.843 O
7.633 3.393 3.694 O
6.081 0.831 10.824 O
```

Main lines, low angle first (10 to 90 degrees two-theta):
- 29.21 deg, I = 57.2
- 29.48 deg, I = 100.0
- 33.83 deg, I = 89.8
- 33.99 deg, I = 46.4
- 34.44 deg, I = 72.2
- 34.60 deg, I = 52.4
- 34.69 deg, I = 94.9
- 61.23 deg, I = 61.0

Computed powder XRD pattern
Compound: K5MoC7N7O
Radiation: Cu Kα (λ = 1.5418 Å)
Structure: the GGA+U geometry in the Materials Project
No peak broadening, texture or thermal motion is included.

```
K5MoC7N7O
1.0
7.873 0.000 0.000
-2.472 7.532 0.000
-2.684 -3.523 6.826
K Mo C N O
5 1 7 7 1
Cartesian
0.000 0.000 0.000 K
-2.671 0.955 5.825 K
0.082 2.847 3.058 K
3.930 -0.014 1.501 K
3.947 4.350 2.595 K
1.296 -0.633 5.209 Mo
-0.263 -0.310 3.686 C
-1.766 4.815 5.016 C
-0.248 -1.039 6.696 C
0.714 1.292 6.105 C
3.036 -1.682 4.366 C
2.449 0.931 4.233 C
5.318 2.781 0.099 C
-1.149 -0.120 2.926 N
-2.142 3.705 4.877 N
1.614 2.317 0.698 N
0.408 2.293 6.642 N
1.545 5.286 4.035 N
3.034 1.817 3.717 N
6.031 2.782 1.038 N
-0.601 6.016 0.986 O
```

Main lines, low angle first (10 to 90 degrees two-theta):
- 13.60 deg, I = 47.2
- 23.20 deg, I = 42.8
- 23.57 deg, I = 40.8
- 30.26 deg, I = 58.3
- 30.40 deg, I = 59.8
- 30.67 deg, I = 100.0
- 36.12 deg, I = 48.2
- 44.02 deg, I = 44.2

Computed powder XRD pattern
Compound: CoSO5
Radiation: Cu Kα (λ = 1.5418 Å)
Structure: the GGA+U geometry in the Materials Project
No peak broadening, texture or thermal motion is included.

```
CoSO5
1.0
3.453 -3.942 0.000
3.453 3.942 0.000
-3.313 0.000 6.401
Co S O
2 2 10
Cartesian
0.000 0.000 0.000 Co
-1.656 0.000 3.200 Co
0.969 1.269 4.800 S
2.625 -1.269 1.600 S
2.625 3.312 1.600 O
-0.014 2.115 5.545 O
0.240 0.400 3.843 O
1.952 2.115 4.056 O
1.896 -0.400 0.642 O
1.698 0.400 5.758 O
1.642 -2.115 2.344 O
3.354 -0.400 2.558 O
3.608 -2.115 0.856 O
0.969 -3.312 4.800 O
```

Main lines, low angle first (10 to 90 degrees two-theta):
- 18.33 deg, I = 73.8
- 18.54 deg, I = 58.9
- 26.56 deg, I = 35.2
- 26.82 deg, I = 31.4
- 27.27 deg, I = 100.0
- 29.12 deg, I = 60.1
- 36.15 deg, I = 35.5
- 37.22 deg, I = 35.0

Computed powder XRD pattern
Compound: LiV3OF11
Radiation: Cu Kα (λ = 1.5418 Å)
Structure: the GGA+U geometry in the Materials Project
No peak broadening, texture or thermal motion is included.

```
LiV3OF11
1.0
5.240 0.000 0.000
0.077 5.443 0.000
0.021 2.676 15.194
Li V O F
2 6 2 22
Cartesian
0.191 1.806 4.040 Li
5.147 6.314 11.154 Li
0.010 1.338 7.597 V
0.113 3.911 12.728 V
2.600 6.809 12.719 V
2.669 4.060 7.597 V
2.738 1.310 2.475 V
5.225 4.208 2.465 V
1.004 2.356 12.280 O
4.334 5.763 2.913 O
0.456 3.847 4.221 F
0.490 4.039 14.436 F
0.555 6.683 9.348 F
1.045 2.452 2.218 F
1.094 5.164 7.227 F
1.622 5.179 12.293 F
1.599 2.415 7.237 F
1.672 5.164 2.144 F
2.050 1.252 4.198 F
2.220 3.994 9.308 F
2.318 6.619 14.444 F
3.020 1.500 0.750 F
3.118 4.125 5.886 F
3.288 6.867 10.996 F
3.666 2.955 13.050 F
3.739 5.704 7.957 F
3.716 2.940 2.900 F
4.244 2.955 7.967 F
4.293 5.667 12.975 F
4.783 1.436 5.846 F
4.848 4.080 0.758 F
4.882 4.272 10.973 F
```

Main lines, low angle first (10 to 90 degrees two-theta):
- 17.51 deg, I = 100.0
- 25.02 deg, I = 74.9
- 25.34 deg, I = 75.9
- 32.91 deg, I = 15.8
- 35.46 deg, I = 14.0
- 39.53 deg, I = 11.9
- 47.85 deg, I = 12.4
- 48.58 deg, I = 11.5

Computed powder XRD pattern
Compound: MgV3Zn2O8
Radiation: Cu Kα (λ = 1.5418 Å)
Structure: the GGA+U geometry in the Materials Project
No peak broadening, texture or thermal motion is included.

```
MgV3Zn2O8
1.0
5.991 0.000 0.000
-2.973 5.236 0.000
-2.959 -1.779 4.936
Mg V Zn O
1 3 2 8
Cartesian
0.000 0.000 0.000 Mg
-1.486 2.618 0.000 V
1.509 2.618 0.000 V
0.030 1.728 2.468 V
-2.926 3.411 3.093 Zn
2.985 0.046 1.843 Zn
-3.047 0.029 3.862 O
-1.384 1.013 1.193 O
-0.023 3.376 1.161 O
1.387 0.997 1.175 O
-1.327 2.460 3.762 O
0.082 0.080 3.776 O
1.443 2.444 3.744 O
3.106 3.428 1.074 O
```

Main lines, low angle first (10 to 90 degrees two-theta):
- 29.53 deg, I = 40.4
- 29.66 deg, I = 66.3
- 34.74 deg, I = 100.0
- 34.87 deg, I = 47.3
- 35.06 deg, I = 36.6
- 35.18 deg, I = 43.8
- 55.72 deg, I = 26.2
- 61.59 deg, I = 53.3

Computed powder XRD pattern
Compound: KPrEuWO6
Radiation: Cu Kα (λ = 1.5418 Å)
Structure: the GGA+U geometry in the Materials Project
No peak broadening, texture or thermal motion is included.

```
KPrEuWO6
1.0
0.000 4.295 4.295
4.295 0.000 4.295
4.295 4.295 0.000
K Pr Eu W O
1 1 1 1 6
Cartesian
0.000 0.000 0.000 K
2.148 2.148 2.148 Pr
4.295 4.295 4.295 Eu
6.443 6.443 6.443 W
6.443 6.443 4.490 O
6.443 4.490 6.443 O
8.395 6.443 6.443 O
4.490 6.443 6.443 O
6.443 8.395 6.443 O
6.443 6.443 8.395 O
```

Main lines, low angle first (10 to 90 degrees two-theta):
- 17.88 deg, I = 13.8
- 20.68 deg, I = 14.0
- 29.41 deg, I = 100.0
- 42.07 deg, I = 29.5
- 52.16 deg, I = 40.4
- 61.02 deg, I = 18.3
- 69.16 deg, I = 18.4
- 84.38 deg, I = 21.6